[1]
Theoretical XRD peak list
Compound: Rb2Tb3Cl10
Radiation: Cu Kα, 1.54184 Å
Structure: a crystal structure in Alexandria, relaxed with PBE
Peak positions follow from Bragg's law for the DFT cell and can differ from measured ones.

Top 10 peaks for 2θ = 10–90°, in order of falling intensity:
d (Å)  two_theta  intensity
4.327  20.53  100.0
4.181  21.25  94.4
2.795  32.03  77.8
5.004  17.72  75.4
4.251  20.89  47.5
1.895  48.00  47.2
2.183  41.36  44.4
7.153  12.38  41.5
2.313  38.93  40.0
2.502  35.89  35.2

Lattice parameters (Å, degrees): 13.098 13.098 10.758 110.57 110.57 33.34
Element x y z (fractional)
Rb  0.118  0.118  0.228
Rb  0.222  0.222  0.844
Rb  0.778  0.778  0.156
Rb  0.882  0.882  0.772
Tb  0.246  0.754  0.500
Tb  0.323  0.323  0.473
Tb  0.421  0.421  0.023
Tb  0.579  0.579  0.977
Tb  0.677  0.677  0.527
Tb  0.754  0.246  0.500
Cl  0.000  0.500  0.500
Cl  0.016  0.016  0.696
Cl  0.098  0.601  0.007
Cl  0.111  0.663  0.463
Cl  0.265  0.735  0.000
Cl  0.271  0.271  0.221
Cl  0.337  0.889  0.537
Cl  0.376  0.376  0.746
Cl  0.399  0.902  0.993
Cl  0.473  0.473  0.292
Cl  0.500  0.000  0.500
Cl  0.527  0.527  0.708
Cl  0.601  0.098  0.007
Cl  0.624  0.624  0.254
Cl  0.663  0.111  0.463
Cl  0.729  0.729  0.779
Cl  0.735  0.265  0.000
Cl  0.889  0.337  0.537
Cl  0.902  0.399  0.993
Cl  0.984  0.984  0.304

[2]
Theoretical XRD peak list
Compound: GeTe2IO
Radiation: Cu Kα, 1.54184 Å
Structure: a crystal structure in Alexandria, relaxed with PBE
Peak positions follow from Bragg's law for the DFT cell and can differ from measured ones.

Top 10 peaks for 2θ = 10–90°, in order of falling intensity:
d (Å)  two_theta  intensity
2.864  31.23  100.0
3.255  27.40  41.1
1.854  49.16  32.1
2.255  39.99  29.4
1.794  50.90  25.3
1.393  67.20  21.9
1.432  65.15  13.5
1.192  80.61  13.3
1.320  71.49  10.2
1.594  57.83  9.7

Lattice parameters (Å, degrees): 4.510 4.510 6.510 90.00 90.00 90.00
Element x y z (fractional)
Ge  0.000  0.000  0.000
Te  0.000  0.500  0.500
Te  0.500  0.000  0.500
I  0.500  0.500  0.000
O  0.500  0.500  0.500

[3]
Theoretical XRD peak list
Compound: CaRu4
Radiation: Cu Kα, 1.54184 Å
Structure: a crystal structure in Alexandria, relaxed with PBE
Peak positions follow from Bragg's law for the DFT cell and can differ from measured ones.

Top 10 peaks for 2θ = 10–90°, in order of falling intensity:
d (Å)  two_theta  intensity
2.628  34.12  100.0
2.276  39.60  74.3
1.609  57.24  49.1
1.372  68.35  38.7
1.314  71.84  16.2
1.138  85.29  7.7
4.552  19.50  4.3
3.219  27.72  3.5
2.036  44.51  1.7
1.858  49.02  1.3

Lattice parameters (Å, degrees): 4.552 4.552 4.552 90.00 90.00 90.00
Element x y z (fractional)
Ca  0.000  0.000  0.000
Ru  0.000  0.000  0.500
Ru  0.000  0.500  0.000
Ru  0.500  0.000  0.000
Ru  0.500  0.500  0.500

[4]
Theoretical XRD peak list
Compound: Rb4Pu3ZrTe8
Radiation: Cu Kα, 1.54184 Å
Structure: a crystal structure in Alexandria, relaxed with PBE
Peak positions follow from Bragg's law for the DFT cell and can differ from measured ones.

Top 10 peaks for 2θ = 10–90°, in order of falling intensity:
d (Å)  two_theta  intensity
2.902  30.81  100.0
2.747  32.60  50.7
8.729  10.13  44.9
1.614  57.06  34.7
2.329  38.67  22.9
1.942  46.77  18.4
1.709  53.64  12.1
2.620  34.22  10.8
1.492  62.24  10.6
1.228  77.74  8.1

Lattice parameters (Å, degrees): 7.769 7.769 8.729 90.00 90.00 90.00
Element x y z (fractional)
Rb  0.000  0.000  0.000
Rb  0.000  0.500  0.000
Rb  0.500  0.000  0.000
Rb  0.500  0.500  0.000
Pu  0.000  0.000  0.500
Pu  0.000  0.500  0.500
Pu  0.500  0.000  0.500
Zr  0.500  0.500  0.500
Te  0.256  0.256  0.298
Te  0.256  0.256  0.702
Te  0.256  0.744  0.298
Te  0.256  0.744  0.702
Te  0.744  0.256  0.298
Te  0.744  0.256  0.702
Te  0.744  0.744  0.298
Te  0.744  0.744  0.702

[5]
Theoretical XRD peak list
Compound: NbP3O9
Radiation: Cu Kα, 1.54184 Å
Structure: a crystal structure in Alexandria, relaxed with PBE
Peak positions follow from Bragg's law for the DFT cell and can differ from measured ones.

Top 10 peaks for 2θ = 10–90°, in order of falling intensity:
d (Å)  two_theta  intensity
4.090  21.73  100.0
3.620  24.59  30.6
5.565  15.92  23.9
2.570  34.91  22.2
2.951  30.29  18.3
4.922  18.02  16.7
2.883  31.02  15.6
3.787  23.49  13.8
3.457  25.77  13.6
2.143  42.16  10.7

Lattice parameters (Å, degrees): 7.738 7.738 9.936 122.93 122.93 51.71
Element x y z (fractional)
Nb  0.240  0.760  0.500
Nb  0.760  0.240  0.000
P  0.043  0.248  0.830
P  0.248  0.043  0.330
P  0.263  0.447  0.670
P  0.447  0.263  0.170
P  0.676  0.813  0.236
P  0.813  0.676  0.736
O  0.091  0.156  0.194
O  0.156  0.091  0.694
O  0.176  0.911  0.340
O  0.223  0.310  0.010
O  0.281  0.622  0.661
O  0.310  0.223  0.510
O  0.373  0.413  0.326
O  0.413  0.373  0.826
O  0.502  0.871  0.312
O  0.535  0.996  0.138
O  0.582  0.717  0.602
O  0.622  0.281  0.161
O  0.717  0.582  0.102
O  0.841  0.881  0.882
O  0.871  0.502  0.812
O  0.881  0.841  0.382
O  0.911  0.176  0.840
O  0.996  0.535  0.638